Starting from a structure optimized by DFT (PBE), the powder diffraction line list of K3NaP4H4O14 was calculated for λ = 1.5418 Å (Cu Kα).
Kinematic intensities with the Lorentz-polarization factor, no thermal factor.

Largest 8 diffraction maxima, sorted by position, 2θ from 5° to 70°:
- 26.51 deg, d = 3.363 Å, I 64
- 27.03 deg, d = 3.298 Å, I 55
- 28.35 deg, d = 3.148 Å, I 61
- 28.63 deg, d = 3.118 Å, I 100
- 28.76 deg, d = 3.104 Å, I 49
- 29.05 deg, d = 3.074 Å, I 79
- 31.88 deg, d = 2.807 Å, I 46
- 32.06 deg, d = 2.792 Å, I 64

Crystal structure
```
data_K3NaP4H4O14
_chemical_formula_sum 'K12 Na4 P16 H16 O56'
_symmetry_space_group_name_H-M 'C 1 2/c 1'
_symmetry_Int_Tables_number 15
_cell_length_a 17.375
_cell_length_b 7.358
_cell_length_c 11.354
_cell_angle_alpha 90.00
_cell_angle_beta 99.87
_cell_angle_gamma 90.00
loop_
_symmetry_equiv_pos_as_xyz
'x,y,z'
'-x,-y,-z'
'-x,y,-z+1/2'
'x,-y,z+1/2'
'x+1/2,y+1/2,z'
'-x+1/2,-y+1/2,-z'
'-x+1/2,y+1/2,-z+1/2'
'x+1/2,-y+1/2,z+1/2'
loop_
_atom_site_label
_atom_site_fract_x
_atom_site_fract_y
_atom_site_fract_z
K1 0.000 0.138 0.250
K2 0.140 0.308 0.988
Na1 0.250 0.250 0.500
P1 0.070 0.252 0.603
P2 0.197 0.022 0.756
H1 0.061 0.451 0.741
H2 0.200 0.323 0.268
O1 0.003 0.142 0.903
O2 0.055 0.456 0.655
O3 0.109 0.281 0.496
O4 0.134 0.184 0.720
O5 0.160 0.155 0.206
O6 0.223 0.037 0.889
O7 0.232 0.429 0.313
```


Starting from a structure optimized by DFT (PBE), the powder diffraction line list of Ce2S4O17 was calculated for λ = 1.5418 Å (Cu Kα).
Kinematic intensities with the Lorentz-polarization factor, no thermal factor.

Largest 8 diffraction maxima, sorted by position, 2θ from 5° to 70°:
- 14.95 deg, d = 5.925 Å, I 100
- 17.51 deg, d = 5.066 Å, I 36
- 19.16 deg, d = 4.633 Å, I 83
- 25.71 deg, d = 3.465 Å, I 33
- 26.13 deg, d = 3.411 Å, I 33
- 27.39 deg, d = 3.256 Å, I 44
- 30.35 deg, d = 2.945 Å, I 51
- 33.21 deg, d = 2.697 Å, I 25

Crystal structure
```
data_Ce2S4O17
_chemical_formula_sum 'Ce2 S4 O17'
_symmetry_space_group_name_H-M 'P 1 m 1'
_symmetry_Int_Tables_number 6
_cell_length_a 6.912
_cell_length_b 5.395
_cell_length_c 9.161
_cell_angle_alpha 90.00
_cell_angle_beta 99.30
_cell_angle_gamma 90.00
loop_
_symmetry_equiv_pos_as_xyz
'x,y,z'
'x,-y,z'
loop_
_atom_site_label
_atom_site_fract_x
_atom_site_fract_y
_atom_site_fract_z
Ce1 0.000 0.000 0.000
Ce2 0.390 0.500 0.542
S1 0.008 0.500 0.194
S2 0.376 0.000 0.352
S3 0.470 0.000 0.832
S4 0.921 0.500 0.711
O1 0.101 0.500 0.642
O2 0.128 0.500 0.343
O3 0.129 0.500 0.073
O4 0.253 0.000 0.471
O5 0.257 0.000 0.202
O6 0.288 0.000 0.899
O7 0.472 0.224 0.738
O8 0.501 0.227 0.370
O9 0.507 0.500 0.083
O10 0.642 0.000 0.949
O11 0.748 0.500 0.594
O12 0.884 0.272 0.175
O13 0.920 0.275 0.804
```


Starting from a structure optimized by DFT (PBE), the powder diffraction line list of Er10Ru10C19 was calculated for λ = 1.5418 Å (Cu Kα).
Kinematic intensities with the Lorentz-polarization factor, no thermal factor.

Largest 8 diffraction maxima, sorted by position, 2θ from 5° to 70°:
- 24.32 deg, d = 3.660 Å, I 14
- 26.78 deg, d = 3.329 Å, I 40
- 31.06 deg, d = 2.879 Å, I 24
- 34.85 deg, d = 2.574 Å, I 55
- 36.19 deg, d = 2.482 Å, I 27
- 36.67 deg, d = 2.451 Å, I 100
- 39.67 deg, d = 2.272 Å, I 19
- 50.39 deg, d = 1.811 Å, I 19

Crystal structure
```
data_Er10Ru10C19
_chemical_formula_sum 'Er20 Ru20 C38'
_symmetry_space_group_name_H-M 'C 1 m 1'
_symmetry_Int_Tables_number 8
_cell_length_a 14.639
_cell_length_b 7.244
_cell_length_c 10.036
_cell_angle_alpha 90.00
_cell_angle_beta 111.41
_cell_angle_gamma 90.00
loop_
_symmetry_equiv_pos_as_xyz
'x,y,z'
'x,-y,z'
'x+1/2,y+1/2,z'
'x+1/2,-y+1/2,z'
loop_
_atom_site_label
_atom_site_fract_x
_atom_site_fract_y
_atom_site_fract_z
Er1 0.000 0.000 0.000
Er2 0.002 0.500 0.013
Er3 0.157 0.500 0.389
Er4 0.179 0.000 0.389
Er5 0.189 0.500 0.764
Er6 0.195 0.000 0.781
Er7 0.304 0.500 0.138
Er8 0.320 0.000 0.164
Er9 0.430 0.500 0.640
Er10 0.433 0.000 0.615
Ru1 0.062 0.213 0.535
Ru2 0.151 0.247 0.983
Ru3 0.355 0.241 0.796
Ru4 0.356 0.284 0.389
Ru5 0.489 0.287 0.243
C1 0.003 0.261 0.823
C2 0.064 0.250 0.747
C3 0.113 0.247 0.183
C4 0.214 0.250 0.224
C5 0.217 0.247 0.596
C6 0.286 0.247 0.956
C7 0.297 0.250 0.555
C8 0.385 0.252 0.031
C9 0.467 0.500 0.389
C10 0.468 0.102 0.389
```


Starting from a structure optimized by DFT (PBE), the powder diffraction line list of NaGd3 was calculated for λ = 1.5418 Å (Cu Kα).
Kinematic intensities with the Lorentz-polarization factor, no thermal factor.

Largest 8 diffraction maxima, sorted by position, 2θ from 5° to 70°:
- 20.77 deg, d = 4.276 Å, I 21
- 28.50 deg, d = 3.132 Å, I 23
- 30.55 deg, d = 2.926 Å, I 26
- 32.43 deg, d = 2.761 Å, I 100
- 42.27 deg, d = 2.138 Å, I 16
- 50.48 deg, d = 1.808 Å, I 19
- 55.50 deg, d = 1.656 Å, I 22
- 60.16 deg, d = 1.538 Å, I 23

Crystal structure
```
data_NaGd3
_chemical_formula_sum 'Na2 Gd6'
_symmetry_space_group_name_H-M 'P 63/m m c'
_symmetry_Int_Tables_number 194
_symmetry_space_group_name_Hall '-P 6c 2c'
_cell_length_a 7.2321
_cell_length_b 7.2321
_cell_length_c 5.8518
_cell_angle_alpha 90.00
_cell_angle_beta 90.00
_cell_angle_gamma 120.00
loop_
_atom_site_label
_atom_site_fract_x
_atom_site_fract_y
_atom_site_fract_z
Na1 0.3333 0.6667 0.2500
Gd1 0.1654 0.3309 0.7500
```


Starting from a structure optimized by DFT (PBE), the powder diffraction line list of ZnFe4S8 was calculated for λ = 1.5418 Å (Cu Kα).
Kinematic intensities with the Lorentz-polarization factor, no thermal factor.

Largest 8 diffraction maxima, sorted by position, 2θ from 5° to 70°:
- 16.06 deg, d = 5.520 Å, I 60
- 18.51 deg, d = 4.795 Å, I 10
- 30.87 deg, d = 2.897 Å, I 19
- 37.52 deg, d = 2.397 Å, I 100
- 53.97 deg, d = 1.699 Å, I 31
- 54.23 deg, d = 1.691 Å, I 30
- 56.69 deg, d = 1.624 Å, I 9
- 67.58 deg, d = 1.386 Å, I 15

Crystal structure
```
data_ZnFe4S8
_chemical_formula_sum 'Zn3 Fe12 S24'
_symmetry_space_group_name_H-M 'R -3 m'
_symmetry_Int_Tables_number 166
_symmetry_space_group_name_Hall '-R 3 2"'
_cell_length_a 6.7957
_cell_length_b 6.7957
_cell_length_c 16.5351
_cell_angle_alpha 90.00
_cell_angle_beta 90.00
_cell_angle_gamma 120.00
loop_
_atom_site_label
_atom_site_fract_x
_atom_site_fract_y
_atom_site_fract_z
Zn1 0.0000 0.0000 0.0000
Fe1 0.0000 0.0000 0.5000
Fe2 0.0000 0.5000 0.0000
S1 0.0000 0.0000 0.2596
S2 0.0242 0.5121 0.2550
```


Starting from a structure optimized by DFT (PBE), the powder diffraction line list of Eu2YNbO6 was calculated for λ = 1.5418 Å (Cu Kα).
Kinematic intensities with the Lorentz-polarization factor, no thermal factor.

Largest 8 diffraction maxima, sorted by position, 2θ from 5° to 70°:
- 21.07 deg, d = 4.216 Å, I 3
- 29.98 deg, d = 2.981 Å, I 100
- 36.93 deg, d = 2.434 Å, I 9
- 42.91 deg, d = 2.108 Å, I 30
- 48.27 deg, d = 1.885 Å, I 2
- 53.22 deg, d = 1.721 Å, I 40
- 62.29 deg, d = 1.490 Å, I 19
- 66.54 deg, d = 1.405 Å, I 1

Crystal structure
```
data_Eu2YNbO6
_chemical_formula_sum 'Eu8 Y4 Nb4 O24'
_symmetry_space_group_name_H-M 'F m -3 m'
_symmetry_Int_Tables_number 225
_symmetry_space_group_name_Hall '-F 4 2 3'
_cell_length_a 8.431
_cell_length_b 8.431
_cell_length_c 8.431
_cell_angle_alpha 90.00
_cell_angle_beta 90.00
_cell_angle_gamma 90.00
loop_
_atom_site_label
_atom_site_fract_x
_atom_site_fract_y
_atom_site_fract_z
Eu1 0.250 0.250 0.250
Y1 0.000 0.000 0.000
Nb1 0.000 0.000 0.500
O1 0.000 0.000 0.262
```


Starting from a structure optimized by DFT (PBE), the powder diffraction line list of Nd5S4 was calculated for λ = 1.5418 Å (Cu Kα).
Kinematic intensities with the Lorentz-polarization factor, no thermal factor.

Largest 8 diffraction maxima, sorted by position, 2θ from 5° to 70°:
- 26.80 deg, d = 3.327 Å, I 23
- 27.11 deg, d = 3.289 Å, I 68
- 31.32 deg, d = 2.856 Å, I 100
- 44.67 deg, d = 2.028 Å, I 36
- 45.08 deg, d = 2.011 Å, I 36
- 53.22 deg, d = 1.721 Å, I 22
- 55.92 deg, d = 1.644 Å, I 19
- 65.34 deg, d = 1.428 Å, I 11

Crystal structure
```
data_Nd5S4
_chemical_formula_sum 'Nd15 S12'
_symmetry_space_group_name_H-M 'R -3 m'
_symmetry_Int_Tables_number 166
_symmetry_space_group_name_Hall '-R 3 2"'
_cell_length_a 4.0219
_cell_length_b 4.0219
_cell_length_c 49.9067
_cell_angle_alpha 90.00
_cell_angle_beta 90.00
_cell_angle_gamma 120.00
loop_
_atom_site_label
_atom_site_fract_x
_atom_site_fract_y
_atom_site_fract_z
Nd1 0.0000 0.0000 0.0000
Nd2 0.0000 0.0000 0.1986
Nd3 0.0000 0.0000 0.4022
S1 0.0000 0.0000 0.1017
S2 0.0000 0.0000 0.2992
```